Simulated PXRD pattern of Mn12Ge4N3 for λ = 1.5418 Å (Cu Kα), from a structure optimized by DFT (PBE).
Peak positions follow from Bragg's law for the DFT cell and can differ from measured ones.

Peak list (10 most intense, 2θ from 5° to 70°, low angle first)
| hkl | d (Å) | I (rel.) |
| --- | --- | --- |
| 2 0 0 | 2.615 | 4 |
| 2 1 0 | 2.339 | 3 |
| 1 2 1 | 2.237 | 8 |
| 2 0 2 | 2.160 | 100 |
| 2 1 2 | 1.996 | 3 |
| 0 0 4 | 1.915 | 22 |
| 2 2 0 | 1.849 | 33 |
| 2 0 3 | 1.827 | 2 |
| 1 2 3 | 1.725 | 3 |
| 3 1 2 | 1.518 | 3 |

Structural model:
Cell: 5.229 5.229 7.660 Å, 90.00 90.00 90.00°
Space group P4/m (No. 83)
Inequivalent atoms, fractional coordinates:
Mn  0.000  0.000  0.248 (multiplicity 2)
Mn  0.189  0.311  0.500 (multiplicity 4)
Mn  0.237  0.752  0.000 (multiplicity 4)
Mn  0.500  0.500  0.249 (multiplicity 2)
Ge  0.000  0.500  0.234 (multiplicity 4)
N  0.000  0.000  0.500 (multiplicity 1)
N  0.500  0.500  0.000 (multiplicity 1)
N  0.500  0.500  0.500 (multiplicity 1)